Record 1
For Al8Ir3, the PBE geometry in OQMD gives the calculated X-ray powder pattern in this record (Cu Kα, 1.54184 Å).
No peak broadening, texture or thermal motion is included.

The 10 most intense peaks (10 to 90 degrees two-theta), in order of falling intensity:
| 2θ/deg | I (rel.) |
| --- | --- |
| 27.30 | 100 |
| 43.23 | 45 |
| 23.61 | 39 |
| 25.27 | 37 |
| 38.85 | 30 |
| 43.06 | 24 |
| 49.84 | 22 |
| 43.85 | 21 |
| 30.41 | 17 |
| 24.26 | 14 |

Atomic structure:
```
Al8Ir3
1.0
3.6248 2.0928 15.0729
-3.6248 2.0928 15.0729
0.0000 -4.1856 15.0729
Al Ir
32 12
Direct
0.0003 0.0003 0.0003 Al
0.0608 0.0608 0.0608 Al
0.0955 0.4064 0.8078 Al
0.1154 0.6549 0.9285 Al
0.1347 0.7773 0.4931 Al
0.1549 0.6154 0.4285 Al
0.1783 0.4142 0.9345 Al
0.2217 0.2217 0.2217 Al
0.2773 0.6347 0.9931 Al
0.3078 0.9064 0.5955 Al
0.3333 0.3333 0.3333 Al
0.4064 0.8078 0.0955 Al
0.4142 0.9345 0.1783 Al
0.4285 0.1549 0.6154 Al
0.4345 0.9143 0.6783 Al
0.4931 0.1347 0.7773 Al
0.5003 0.5003 0.5003 Al
0.5608 0.5608 0.5608 Al
0.5955 0.3078 0.9064 Al
0.6154 0.4285 0.1549 Al
0.6347 0.9931 0.2773 Al
0.6549 0.9285 0.1154 Al
0.6783 0.4345 0.9142 Al
0.7217 0.7217 0.7217 Al
0.7773 0.4931 0.1347 Al
0.8078 0.0955 0.4064 Al
0.8333 0.8333 0.8333 Al
0.9064 0.5955 0.3078 Al
0.9142 0.6783 0.4345 Al
0.9285 0.1154 0.6549 Al
0.9345 0.1783 0.4142 Al
0.9931 0.2773 0.6347 Al
0.0916 0.3026 0.6875 Ir
0.1315 0.1315 0.1315 Ir
0.1875 0.8026 0.5916 Ir
0.2753 0.2753 0.2753 Ir
0.3026 0.6875 0.0916 Ir
0.4424 0.4424 0.4424 Ir
0.5916 0.1875 0.8026 Ir
0.6315 0.6315 0.6315 Ir
0.6875 0.0916 0.3026 Ir
0.7753 0.7753 0.7753 Ir
0.8026 0.5916 0.1875 Ir
0.9424 0.9424 0.9424 Ir
```

Record 2
For Nb4ZnAuC2, the PBE geometry in OQMD gives the calculated X-ray powder pattern in this record (Cu Kα, 1.54184 Å).
No peak broadening, texture or thermal motion is included.

The 10 most intense peaks (10 to 90 degrees two-theta), in order of falling intensity:
| 2θ/deg | I (rel.) |
| --- | --- |
| 38.18 | 100 |
| 32.68 | 25 |
| 58.33 | 20 |
| 38.96 | 19 |
| 72.39 | 18 |
| 70.05 | 17 |
| 51.74 | 16 |
| 71.87 | 15 |
| 35.22 | 7 |
| 19.20 | 4 |

Atomic structure:
```
Nb4ZnAuC2
1.0
3.1639 0.0000 0.0000
-1.5820 2.7400 0.0000
0.0000 0.0000 13.8694
Nb Zn Au C
4 1 1 2
Direct
0.0000 0.0000 0.1609 Nb
0.0000 0.0000 0.8391 Nb
0.3333 0.6667 0.3345 Nb
0.3333 0.6667 0.6655 Nb
0.3333 0.6667 0.0000 Zn
0.0000 0.0000 0.5000 Au
0.6667 0.3333 0.2472 C
0.6667 0.3333 0.7528 C
```

Record 3
For Ta8C3S2N3, the PBE geometry in OQMD gives the calculated X-ray powder pattern in this record (Cu Kα, 1.54184 Å).
No peak broadening, texture or thermal motion is included.

The 10 most intense peaks (10 to 90 degrees two-theta), in order of falling intensity:
| 2θ/deg | I (rel.) |
| --- | --- |
| 40.86 | 100 |
| 33.63 | 62 |
| 38.50 | 57 |
| 58.24 | 45 |
| 34.85 | 33 |
| 32.05 | 32 |
| 68.03 | 30 |
| 60.06 | 25 |
| 36.49 | 19 |
| 73.58 | 18 |

Atomic structure:
```
Ta8C3S2N3
1.0
3.1683 0.0000 0.0000
-1.5842 2.7439 0.0000
0.0000 0.0000 22.3382
Ta C S N
8 3 2 3
Direct
0.0000 0.0000 0.1682 Ta
0.0000 0.0000 0.3305 Ta
0.0000 0.0000 0.6695 Ta
0.0000 0.0000 0.8318 Ta
0.3333 0.6667 0.0595 Ta
0.3333 0.6667 0.4455 Ta
0.6667 0.3333 0.5545 Ta
0.6667 0.3333 0.9405 Ta
0.0000 0.0000 0.0000 C
0.3333 0.6667 0.8842 C
0.6667 0.3333 0.1158 C
0.3333 0.6667 0.2531 S
0.6667 0.3333 0.7469 S
0.0000 0.0000 0.5000 N
0.3333 0.6667 0.6108 N
0.6667 0.3333 0.3892 N
```

Record 4
For LaPr2Ta2O6, the PBE geometry in OQMD gives the calculated X-ray powder pattern in this record (Cu Kα, 1.54184 Å).
No peak broadening, texture or thermal motion is included.

The 10 most intense peaks (10 to 90 degrees two-theta), in order of falling intensity:
| 2θ/deg | I (rel.) |
| --- | --- |
| 31.92 | 100 |
| 31.33 | 100 |
| 44.89 | 51 |
| 39.33 | 47 |
| 56.14 | 41 |
| 49.18 | 25 |
| 61.18 | 25 |
| 25.99 | 24 |
| 74.27 | 17 |
| 65.36 | 16 |

Atomic structure:
```
LaPr2Ta2O6
1.0
-2.0192 2.0192 9.7369
2.0192 -2.0192 9.7369
2.0192 2.0192 -9.7369
La Pr Ta O
1 2 2 6
Direct
0.0000 0.0000 0.0000 La
0.1812 0.1812 0.0000 Pr
0.8188 0.8188 0.0000 Pr
0.4310 0.4310 0.0000 Ta
0.5690 0.5690 0.0000 Ta
0.0952 0.5952 0.5000 O
0.2955 0.2955 0.0000 O
0.4048 0.9048 0.5000 O
0.5952 0.0952 0.5000 O
0.7045 0.7045 0.0000 O
0.9048 0.4048 0.5000 O
```

Record 5
For AsH6PtAu, the PBE geometry in OQMD gives the calculated X-ray powder pattern in this record (Cu Kα, 1.54184 Å).
No peak broadening, texture or thermal motion is included.

The 10 most intense peaks (10 to 90 degrees two-theta), in order of falling intensity:
| 2θ/deg | I (rel.) |
| --- | --- |
| 36.40 | 100 |
| 22.06 | 55 |
| 65.51 | 37 |
| 42.97 | 30 |
| 52.43 | 18 |
| 88.61 | 17 |
| 57.55 | 13 |
| 77.33 | 12 |
| 81.59 | 10 |
| 70.04 | 10 |

Atomic structure:
```
AsH6PtAu
1.0
0.0000 3.4902 3.4902
3.4902 0.0000 3.4902
3.4902 3.4902 0.0000
As H Pt Au
1 6 1 1
Direct
0.0000 0.0000 0.0000 As
0.0042 0.0042 0.4958 H
0.0042 0.4958 0.0042 H
0.0042 0.4958 0.4958 H
0.4958 0.0042 0.0042 H
0.4958 0.0042 0.4958 H
0.4958 0.4958 0.0042 H
0.2500 0.2500 0.2500 Pt
0.5000 0.5000 0.5000 Au
```

What is the formula in the second record? Nb4ZnAuC2